The following is a simulated powder X-ray diffraction pattern of CaFe2O4. It was derived from a PBE+U-relaxed structure, using Cu Ka.
Intensities are scaled so that the largest is 100.

Atomic structure:
```
data_CaFe2O4
_chemical_formula_sum 'Ca16 Fe32 O64'
_cell_length_a 11.0055
_cell_length_b 6.2568
_cell_length_c 20.7161
_cell_angle_alpha 90.00
_cell_angle_beta 100.90
_cell_angle_gamma 90.00
_space_group_name_H-M_alt 'C 1 m 1'
_space_group_IT_number 8
_space_group_name_Hall 'C -2y'
loop_
_atom_site_label
_atom_site_fract_x
_atom_site_fract_y
_atom_site_fract_z
Ca1 0.0000 0.0000 0.0000
Ca2 0.0006 0.5000 0.5007
Ca3 0.0225 0.5000 0.0978
Ca4 0.1262 0.5000 0.3746
Ca5 0.2505 0.0000 0.7506
Ca6 0.2524 0.5000 0.2508
Ca7 0.2786 0.5000 0.8414
Ca8 0.3800 0.0000 0.6290
Fe1 0.0062 0.2421 0.7526
Fe2 0.0234 0.0000 0.5912
Fe3 0.1263 0.0000 0.8742
Fe4 0.2259 0.0000 0.1564
Fe5 0.2299 0.5000 0.6606
Fe6 0.2512 0.2483 0.5016
Fe7 0.2506 0.2586 0.0009
Fe8 0.2725 0.0000 0.3431
Fe9 0.3703 0.5000 0.1211
Fe10 0.4771 0.0000 0.9063
Fe11 0.4790 0.5000 0.4103
Fe12 0.4990 0.2515 0.2511
O1 0.0513 0.0000 0.1863
O2 0.0506 0.5000 0.2061
O3 0.0526 0.0000 0.6878
O4 0.0734 0.5000 0.6995
O5 0.0753 0.2459 0.9365
O6 0.0784 0.2405 0.4426
O7 0.1647 0.2207 0.8136
O8 0.1736 0.2355 0.3071
O9 0.1880 0.0000 0.5578
O10 0.1975 0.0000 0.0610
O11 0.2003 0.5000 0.5612
O12 0.2008 0.5000 0.0591
O13 0.2988 0.5000 0.9490
O14 0.3009 0.0000 0.4421
O15 0.3081 0.0000 0.9398
O16 0.3172 0.5000 0.4443
O17 0.3250 0.2553 0.1846
O18 0.3299 0.2658 0.6966
O19 0.4106 0.2753 0.0617
O20 0.4241 0.2587 0.5596
O21 0.4290 0.0000 0.3075
O22 0.4503 0.5000 0.3102
O23 0.4506 0.0000 0.8112
O24 0.4617 0.5000 0.8101
```

Largest 10 diffraction maxima, in order of rising 2θ, 2θ from 10° to 90°:
- 2θ 28.20, rel. 33
- 2θ 33.18, rel. 72
- 2θ 33.47, rel. 87
- 2θ 33.61, rel. 100
- 2θ 33.76, rel. 29
- 2θ 40.64, rel. 63
- 2θ 53.32, rel. 28
- 2θ 53.73, rel. 35
- 2θ 58.32, rel. 44
- 2θ 59.36, rel. 43